[1]
Structure and simulated PXRD pattern of CsCr2S4 (a DFT-relaxed cell (PBE, the Materials Project); copper Kα).
Peak positions follow from Bragg's law for the DFT cell and can differ from measured ones.

a b c (Å): 6.9961 16.7144 5.9819
angles (deg): 90.00 90.00 90.00
Fractional positions:
Cs1 0.2500 0.2500 0.0403
Cs2 0.2500 0.7500 0.3443
Cs3 0.7500 0.2500 0.6557
Cs4 0.7500 0.7500 0.9597
Cr1 0.0000 0.0000 0.5000
Cr2 0.0000 0.5000 0.5000
Cr3 0.2500 0.5010 0.9942
Cr4 0.2500 0.9990 0.9942
Cr5 0.5000 0.0000 0.5000
Cr6 0.5000 0.5000 0.5000
Cr7 0.7500 0.0010 0.0058
Cr8 0.7500 0.4990 0.0058
S1 0.0011 0.0781 0.8323
S2 0.0011 0.4219 0.8323
S3 0.2500 0.0771 0.3393
S4 0.2500 0.4229 0.3393
S5 0.2500 0.5783 0.6705
S6 0.2500 0.9217 0.6705
S7 0.4989 0.0781 0.8323
S8 0.4989 0.4219 0.8323
S9 0.5011 0.5781 0.1677
S10 0.5011 0.9219 0.1677
S11 0.7500 0.0783 0.3295
S12 0.7500 0.4217 0.3295
S13 0.7500 0.5771 0.6607
S14 0.7500 0.9229 0.6607
S15 0.9989 0.5781 0.1677
S16 0.9989 0.9219 0.1677

Principal peaks in the range 10° ≤ 2θ ≤ 90°, in order of rising 2θ:
2theta	I_rel
20.24	1000
21.26	808
25.28	626
33.76	656
34.02	588
36.72	570



[2]
Structure and simulated PXRD pattern of Na6MnS4 (a DFT-relaxed cell (PBE, the Materials Project); copper Kα).
Peak positions follow from Bragg's law for the DFT cell and can differ from measured ones.

a b c (Å): 9.0095 9.0095 6.9841
angles (deg): 90.00 90.00 120.00
Fractional positions:
Na1 0.0653 0.5326 0.0000
Na2 0.1466 0.2932 0.6685
Na3 0.1466 0.8534 0.6685
Na4 0.2932 0.1466 0.1685
Na5 0.4674 0.5326 0.0000
Na6 0.4674 0.9347 0.0000
Na7 0.5326 0.0653 0.5000
Na8 0.5326 0.4674 0.5000
Na9 0.7068 0.8534 0.6685
Na10 0.8534 0.1466 0.1685
Na11 0.8534 0.7068 0.1685
Na12 0.9347 0.4674 0.5000
Mn1 0.3333 0.6667 0.3830
Mn2 0.6667 0.3333 0.8830
S1 0.1869 0.3738 0.2748
S2 0.1869 0.8131 0.2748
S3 0.3333 0.6667 0.7279
S4 0.3738 0.1869 0.7748
S5 0.6262 0.8131 0.2748
S6 0.6667 0.3333 0.2279
S7 0.8131 0.1869 0.7748
S8 0.8131 0.6262 0.7748

Principal peaks in the range 10° ≤ 2θ ≤ 90°, in order of rising 2θ:
2theta	I_rel
11.34	628
17.04	475
32.97	742
34.47	734
40.03	1000
45.37	347



[3]
Structure and simulated PXRD pattern of Na3Zr2Si2PO12 (a DFT-relaxed cell (PBE, the Materials Project); copper Kα).
Peak positions follow from Bragg's law for the DFT cell and can differ from measured ones.

a b c (Å): 9.1367 9.1670 9.3097
angles (deg): 61.42 61.11 60.31
Fractional positions:
Na1 0.0000 0.0000 0.0000
Na2 0.0394 0.4130 0.7116
Na3 0.2249 0.7912 0.4866
Na4 0.3592 0.3107 0.9119
Na5 0.5460 0.1116 0.3482
Na6 0.6629 0.7033 0.1501
Zr1 0.2543 0.5547 0.2953
Zr2 0.4617 0.7548 0.6793
Zr3 0.7695 0.0449 0.7930
Zr4 0.9645 0.2462 0.1867
Si1 0.0785 0.6480 0.9765
Si2 0.1430 0.1522 0.5052
Si3 0.3617 0.9332 0.9979
Si4 0.8623 0.8669 0.4780
P1 0.5635 0.4406 0.4935
P2 0.6538 0.3617 0.9847
O1 0.0354 0.6841 0.4675
O2 0.0367 0.4709 0.0304
O3 0.0848 0.1658 0.3560
O4 0.1311 0.6397 0.1270
O5 0.1897 0.1171 0.0155
O6 0.1955 0.3223 0.4516
O7 0.2474 0.6560 0.7972
O8 0.3231 0.9742 0.5150
O9 0.3487 0.7696 0.1819
O10 0.3594 0.8799 0.8545
O11 0.3862 0.4605 0.4905
O12 0.5029 0.3993 0.1518
O13 0.5410 0.9736 0.9423
O14 0.5466 0.6195 0.4896
O15 0.6029 0.2893 0.6569
O16 0.6170 0.5163 0.8234
O17 0.6596 0.1893 0.9843
O18 0.6771 0.8392 0.5342
O19 0.7164 0.4009 0.3276
O20 0.8346 0.3319 0.9893
O21 0.8633 0.9248 0.6196
O22 0.8788 0.0283 0.2926
O23 0.8972 0.8227 0.9633
O24 0.9827 0.1344 0.6914

Principal peaks in the range 10° ≤ 2θ ≤ 90°, in order of rising 2θ:
2theta	I_rel
13.48	915
18.81	583
19.08	751
19.33	1000
27.28	901
30.12	900



[4]
Structure and simulated PXRD pattern of LiMg14Zr (a DFT-relaxed cell (PBE, the Materials Project); copper Kα).
Peak positions follow from Bragg's law for the DFT cell and can differ from measured ones.

a b c (Å): 10.1895 6.4211 6.4211
angles (deg): 60.01 90.00 90.00
Fractional positions:
Li1 0.0000 0.0000 0.0000
Mg1 0.0000 0.9997 0.5138
Mg2 0.0000 0.5138 0.9997
Mg3 0.2451 0.1691 0.1691
Mg4 0.2473 0.1736 0.6697
Mg5 0.2473 0.6697 0.1736
Mg6 0.2492 0.6674 0.6674
Mg7 0.5000 0.0034 0.0034
Mg8 0.5000 0.0034 0.5036
Mg9 0.5000 0.5036 0.0034
Mg10 0.5000 0.5036 0.5036
Mg11 0.7508 0.6674 0.6674
Mg12 0.7527 0.1736 0.6697
Mg13 0.7527 0.6697 0.1736
Mg14 0.7549 0.1691 0.1691
Zr1 0.0000 0.5036 0.5036

Principal peaks in the range 10° ≤ 2θ ≤ 90°, in order of rising 2θ:
2theta	I_rel
18.17	223
32.19	249
35.23	251
36.83	1000
64.27	182
69.17	191



Number 2 is which compound?
Na6MnS4



What is the formula in the first record?
CsCr2S4